[1]
The following is a calculated powder XRD pattern of KErCdTe3. It was derived from a GGA-PBE-relaxed structure, using λ = 1.5418 Å (Cu Kα).

Principal peaks in the range 15° ≤ 2θ ≤ 90°, in order of rising 2θ:
d (Å), Position (°2θ), I/Imax
3.508, 25.39, 20.6
3.391, 26.28, 24.5
3.258, 27.37, 48.5
2.941, 30.39, 100.0
2.756, 32.49, 15.5
2.375, 37.88, 13.7
2.346, 38.37, 41.2
2.239, 40.27, 25.3
2.143, 42.16, 17.3
1.936, 46.94, 15.0

Crystal structure
Unit cell a=11.7867 b=4.4786 c=15.5737 alpha=90.00 beta=90.00 gamma=90.00
Element x y z (fractional)
1 K 0.2269 0.2500 0.0081
2 K 0.2731 0.7500 0.5081
3 K 0.7269 0.2500 0.4919
4 K 0.7731 0.7500 0.9919
5 Er 0.0166 0.7500 0.7449
6 Er 0.4834 0.2500 0.2449
7 Er 0.5166 0.7500 0.7551
8 Er 0.9834 0.2500 0.2551
9 Cd 0.2371 0.7500 0.2153
10 Cd 0.2629 0.2500 0.7153
11 Cd 0.7371 0.7500 0.2847
12 Cd 0.7629 0.2500 0.7847
13 Te 0.0320 0.7500 0.1231
14 Te 0.0664 0.2500 0.6134
15 Te 0.2344 0.2500 0.3290
16 Te 0.2656 0.7500 0.8290
17 Te 0.4336 0.7500 0.1134
18 Te 0.4680 0.2500 0.6231
19 Te 0.5320 0.7500 0.3769
20 Te 0.5664 0.2500 0.8866
21 Te 0.7344 0.2500 0.1710
22 Te 0.7656 0.7500 0.6710
23 Te 0.9336 0.7500 0.3866
24 Te 0.9680 0.2500 0.8769



[2]
The following is a calculated powder XRD pattern of NaErCdSe3. It was derived from a GGA-PBE-relaxed structure, using λ = 1.5418 Å (Cu Kα).

Principal peaks in the range 15° ≤ 2θ ≤ 90°, in order of rising 2θ:
d (Å), Position (°2θ), I/Imax
3.220, 27.70, 18.3
3.082, 28.97, 20.1
2.969, 30.10, 36.7
2.764, 32.39, 33.2
2.692, 33.28, 100.0
2.568, 34.95, 23.3
2.133, 42.37, 15.1
2.127, 42.50, 41.0
2.067, 43.79, 23.9
1.655, 55.52, 20.3

Crystal structure
Unit cell a=7.2393 b=7.2393 c=11.0552 alpha=90.00 beta=90.00 gamma=146.81
Element x y z (fractional)
1 Na 0.2455 0.7545 0.7500
2 Na 0.7545 0.2455 0.2500
3 Er 0.0000 0.0000 0.0000
4 Er 0.0000 0.0000 0.5000
5 Cd 0.4663 0.5337 0.2500
6 Cd 0.5337 0.4663 0.7500
7 Se 0.0879 0.9121 0.2500
8 Se 0.3626 0.6374 0.0536
9 Se 0.3626 0.6374 0.4464
10 Se 0.6374 0.3626 0.5536
11 Se 0.6374 0.3626 0.9464
12 Se 0.9121 0.0879 0.7500



[3]
The following is a calculated powder XRD pattern of NdEr2Tl2Cd4. It was derived from a GGA-PBE-relaxed structure, using λ = 1.5418 Å (Cu Kα).

Principal peaks in the range 15° ≤ 2θ ≤ 90°, in order of rising 2θ:
d (Å), Position (°2θ), I/Imax
2.930, 30.51, 72.8
2.909, 30.74, 41.5
2.684, 33.38, 44.8
2.663, 33.66, 100.0
2.495, 36.00, 21.9
2.482, 36.19, 19.1
2.299, 39.19, 46.8
2.178, 41.47, 21.8
1.691, 54.26, 19.6
1.681, 54.61, 17.4

Crystal structure
Unit cell a=4.5971 b=7.6050 c=7.6050 alpha=120.79 beta=90.00 gamma=90.00
Element x y z (fractional)
1 Nd 0.0000 0.0000 0.0000
2 Er 0.0000 0.4245 0.8516
3 Er 0.0000 0.8516 0.4245
4 Tl 0.5000 0.0952 0.7548
5 Tl 0.5000 0.7548 0.0952
6 Cd 0.0000 0.4353 0.4353
7 Cd 0.5000 0.1884 0.4263
8 Cd 0.5000 0.4263 0.1884
9 Cd 0.5000 0.6682 0.6682



[4]
The following is a calculated powder XRD pattern of Nd2ErTl2Cd4. It was derived from a GGA-PBE-relaxed structure, using λ = 1.5418 Å (Cu Kα).

Principal peaks in the range 15° ≤ 2θ ≤ 90°, in order of rising 2θ:
d (Å), Position (°2θ), I/Imax
2.968, 30.11, 38.9
2.942, 30.38, 89.1
2.704, 33.13, 100.0
2.678, 33.46, 56.4
2.526, 35.54, 25.0
2.499, 35.93, 21.0
2.321, 38.81, 52.2
2.218, 40.67, 40.6
2.188, 41.26, 24.2
1.709, 53.64, 23.7

Crystal structure
Unit cell a=4.6411 b=7.6106 c=7.6106 alpha=119.03 beta=90.00 gamma=90.00
Element x y z (fractional)
1 Nd 0.0000 0.2114 0.7886
2 Nd 0.0000 0.7886 0.2114
3 Er 0.0000 0.6369 0.6369
4 Tl 0.5000 0.5493 0.8750
5 Tl 0.5000 0.8750 0.5493
6 Cd 0.0000 0.2237 0.2237
7 Cd 0.5000 0.2135 0.4536
8 Cd 0.5000 0.4536 0.2135
9 Cd 0.5000 0.9784 0.9784



[5]
The following is a calculated powder XRD pattern of ErTmCd2Sn2. It was derived from a GGA-PBE-relaxed structure, using λ = 1.5418 Å (Cu Kα).

Principal peaks in the range 15° ≤ 2θ ≤ 90°, in order of rising 2θ:
d (Å), Position (°2θ), I/Imax
3.083, 28.96, 27.6
2.871, 31.15, 74.1
2.629, 34.10, 38.4
2.429, 37.01, 100.0
2.180, 41.42, 57.9
1.678, 54.70, 39.7
1.541, 60.02, 19.4
1.404, 66.59, 19.7
1.330, 70.87, 18.3
1.301, 72.65, 27.8

Crystal structure
Unit cell a=8.4690 b=8.4690 c=8.4690 alpha=150.17 beta=150.17 gamma=42.69
Element x y z (fractional)
1 Er 0.0000 0.0000 0.0000
2 Tm 0.3264 0.3264 0.0000
3 Cd 0.1634 0.6634 0.5000
4 Cd 0.6634 0.1634 0.5000
5 Sn 0.5204 0.5204 0.0000
6 Sn 0.8058 0.8058 0.0000



[6]
The following is a calculated powder XRD pattern of Er5Tl3Cd. It was derived from a GGA-PBE-relaxed structure, using λ = 1.5418 Å (Cu Kα).

Principal peaks in the range 15° ≤ 2θ ≤ 90°, in order of rising 2θ:
d (Å), Position (°2θ), I/Imax
3.344, 26.66, 13.4
2.743, 32.65, 38.7
2.703, 33.14, 100.0
2.652, 33.80, 89.5
2.096, 43.17, 15.2
1.893, 48.06, 28.0
1.791, 51.00, 11.2
1.541, 60.04, 21.9
1.467, 63.40, 13.2
1.414, 66.06, 26.0

Crystal structure
Unit cell a=9.1873 b=9.1873 c=6.6871 alpha=90.00 beta=90.00 gamma=120.00
Element x y z (fractional)
1 Er 0.0000 0.2869 0.2500
2 Er 0.0000 0.7131 0.7500
3 Er 0.2869 0.0000 0.2500
4 Er 0.2869 0.2869 0.7500
5 Er 0.3333 0.6667 0.0000
6 Er 0.3333 0.6667 0.5000
7 Er 0.6667 0.3333 0.0000
8 Er 0.6667 0.3333 0.5000
9 Er 0.7131 0.0000 0.7500
10 Er 0.7131 0.7131 0.2500
11 Tl 0.0000 0.3744 0.7500
12 Tl 0.0000 0.6256 0.2500
13 Tl 0.3744 0.0000 0.7500
14 Tl 0.3744 0.3744 0.2500
15 Tl 0.6256 0.0000 0.2500
16 Tl 0.6256 0.6256 0.7500
17 Cd 0.0000 0.0000 0.0000
18 Cd 0.0000 0.0000 0.5000